No. 1
Simulated X-ray powder pattern of Sr2FeBiO6 for Cu Kα, from a GGA+U-relaxed structure.
Neutral-atom scattering factors, no anomalous dispersion.

Main lines, low angle first (2θ from 10° to 90°):
(hkl)	2theta	d [Å]	intensity
1 1 1	18.71	4.744	26
2 2 0	30.78	2.905	100
4 0 0	44.09	2.054	32
4 2 2	54.73	1.677	40
4 4 0	64.11	1.453	20
6 4 2	89.19	1.098	22

Structure:
abc: 8.217 8.217 8.217
angles: 90.00 90.00 90.00
Space group Fm-3m (No. 225)
Symmetry-distinct sites (fractional):
Sr  0.250  0.250  0.250 [8 per cell]
Fe  0.000  0.000  0.000 [4 per cell]
Bi  0.000  0.000  0.500 [4 per cell]
O  0.000  0.000  0.244 [24 per cell]

No. 2
Simulated X-ray powder pattern of Rb2VP2O8 for Cu Kα, from a GGA+U-relaxed structure.
Neutral-atom scattering factors, no anomalous dispersion.

Main lines, low angle first (2θ from 10° to 90°):
(hkl)	2theta	d [Å]	intensity
1 1 2	23.33	3.812	65
3 1 1	25.54	3.487	100
2 1 2	26.17	3.405	57
2 2 1	29.63	3.015	78
0 2 2	30.96	2.889	29
2 0 3	31.29	2.859	42

Structure:
abc: 13.121 7.265 9.529
angles: 90.00 90.00 90.00
Space group Pnma (No. 62)
Symmetry-distinct sites (fractional):
Rb  0.094  0.250  0.141 [4 per cell]
Rb  0.096  0.750  0.423 [4 per cell]
V  0.202  0.750  0.997 [4 per cell]
P  0.149  0.044  0.731 [8 per cell]
O  0.044  0.524  0.695 [8 per cell]
O  0.088  0.750  0.069 [4 per cell]
O  0.142  0.250  0.799 [4 per cell]
O  0.208  0.563  0.845 [8 per cell]
O  0.219  0.059  0.600 [8 per cell]

No. 3
Simulated X-ray powder pattern of MgFe8O8F8 for Cu Kα, from a GGA+U-relaxed structure.
Neutral-atom scattering factors, no anomalous dispersion.

Main lines, low angle first (2θ from 10° to 90°):
(hkl)	2theta	d [Å]	intensity
0 2 -2	25.82	3.450	100
1 0 -2	34.10	2.629	38
1 2 0	34.43	2.605	28
1 2 -2	39.09	2.304	22
1 2 -4	50.88	1.795	22
1 4 -2	51.59	1.772	21

Structure:
abc: 3.101 9.606 9.921
angles: 89.79 89.85 89.88
Space group P1 (No. 1)
Symmetry-distinct sites (fractional):
Mg  0.000  0.000  0.000 [1 per cell]
Fe  0.009  0.259  0.500 [1 per cell]
Fe  0.010  0.767  0.506 [1 per cell]
Fe  0.023  0.673  0.993 [1 per cell]
Fe  0.034  0.290  0.008 [1 per cell]
Fe  0.504  0.054  0.736 [1 per cell]
Fe  0.507  0.055  0.262 [1 per cell]
Fe  0.519  0.517  0.242 [1 per cell]
Fe  0.524  0.501  0.767 [1 per cell]
O  0.005  0.138  0.654 [1 per cell]
O  0.008  0.125  0.161 [1 per cell]
O  0.019  0.617  0.178 [1 per cell]
O  0.024  0.401  0.842 [1 per cell]
O  0.498  0.133  0.921 [1 per cell]
O  0.509  0.177  0.412 [1 per cell]
O  0.524  0.660  0.881 [1 per cell]
O  0.528  0.375  0.098 [1 per cell]
F  0.003  0.924  0.818 [1 per cell]
F  0.007  0.928  0.344 [1 per cell]
F  0.015  0.419  0.357 [1 per cell]
F  0.019  0.599  0.651 [1 per cell]
F  0.503  0.899  0.088 [1 per cell]
F  0.507  0.884  0.594 [1 per cell]
F  0.513  0.375  0.590 [1 per cell]
F  0.513  0.660  0.412 [1 per cell]

No. 4
Simulated X-ray powder pattern of Li2MoO3 for Cu Kα, from a GGA+U-relaxed structure.
Neutral-atom scattering factors, no anomalous dispersion.

Main lines, low angle first (2θ from 10° to 90°):
(hkl)	2theta	d [Å]	intensity
0 0 1	17.82	4.977	100
1 1 0	20.39	4.356	36
1 1 -1	22.87	3.888	27
1 3 0	34.64	2.589	50
1 3 1	42.03	2.150	83
2 0 2	60.86	1.522	24

Structure:
abc: 5.259 9.107 5.277
angles: 90.00 109.41 90.00
Space group C2/m (No. 12)
Symmetry-distinct sites (fractional):
Li  0.000  0.000  0.000 [2 per cell]
Li  0.000  0.158  0.500 [4 per cell]
Li  0.000  0.500  0.500 [2 per cell]
Mo  0.000  0.333  0.000 [4 per cell]
O  0.232  0.500  0.239 [4 per cell]
O  0.247  0.326  0.763 [8 per cell]

No. 5
Simulated X-ray powder pattern of SrMnOF5 for Cu Kα, from a GGA+U-relaxed structure.
Neutral-atom scattering factors, no anomalous dispersion.

Main lines, low angle first (2θ from 10° to 90°):
(hkl)	2theta	d [Å]	intensity
1 0 -1	19.03	4.664	73
0 1 1	19.29	4.601	55
1 1 -1	22.21	4.003	65
1 0 1	27.43	3.252	75
0 2 1	27.72	3.218	100
1 2 0	28.97	3.082	66

Structure:
abc: 5.369 7.799 6.080
angles: 90.00 110.40 90.00
Space group P2_1/m (No. 11)
Symmetry-distinct sites (fractional):
Sr  0.086  0.250  0.384 [2 per cell]
Mn  0.500  0.000  0.000 [2 per cell]
O  0.344  0.750  0.442 [2 per cell]
F  0.211  0.038  0.714 [4 per cell]
F  0.286  0.055  0.174 [4 per cell]
F  0.359  0.750  0.963 [2 per cell]

No. 6
Simulated X-ray powder pattern of Cs3Fe2F9 for Cu Kα, from a GGA+U-relaxed structure.
Neutral-atom scattering factors, no anomalous dispersion.

Main lines, low angle first (2θ from 10° to 90°):
(hkl)	2theta	d [Å]	intensity
1 0 3	23.53	3.781	100
1 1 0	27.72	3.219	85
2 0 3	36.66	2.451	80
2 1 3	46.57	1.950	25
2 0 6	48.13	1.891	19
2 2 0	57.24	1.609	19

Structure:
abc: 6.4375 6.4375 15.4384
angles: 90.00 90.00 120.00
Space group P-62c (No. 190)
Symmetry-distinct sites (fractional):
Cs  0.3333  0.6667  0.0648 [4 per cell]
Cs  0.3333  0.6667  0.7500 [2 per cell]
Fe  0.0000  0.0000  0.1554 [4 per cell]
F  0.1290  0.8644  0.2500 [6 per cell]
F  0.1384  0.2995  0.5975 [12 per cell]

No. 7
Simulated X-ray powder pattern of MnCd4O5 for Cu Kα, from a GGA+U-relaxed structure.
Neutral-atom scattering factors, no anomalous dispersion.

Main lines, low angle first (2θ from 10° to 90°):
(hkl)	2theta	d [Å]	intensity
0 0 5	32.71	2.738	33
2 0 1	32.85	2.727	100
2 0 -4	37.99	2.369	42
1 1 3	38.11	2.361	84
1 1 -7	54.84	1.674	39
0 2 0	55.03	1.669	40

Structure:
abc: 5.788 3.334 13.831
angles: 90.00 98.18 90.00
Space group P2_1/m (No. 11)
Symmetry-distinct sites (fractional):
Mn  0.249  0.250  0.000 [2 per cell]
Cd  0.049  0.250  0.398 [2 per cell]
Cd  0.148  0.750  0.194 [2 per cell]
Cd  0.353  0.750  0.807 [2 per cell]
Cd  0.450  0.250  0.602 [2 per cell]
O  0.056  0.750  0.911 [2 per cell]
O  0.152  0.250  0.705 [2 per cell]
O  0.250  0.750  0.500 [2 per cell]
O  0.348  0.250  0.295 [2 per cell]
O  0.443  0.750  0.088 [2 per cell]

No. 8
Simulated X-ray powder pattern of MgMoF6 for Cu Kα, from a GGA+U-relaxed structure.
Neutral-atom scattering factors, no anomalous dispersion.

Main lines, low angle first (2θ from 10° to 90°):
(hkl)	2theta	d [Å]	intensity
1 0 1	20.02	4.435	31
0 1 2	22.86	3.890	100
1 0 4	31.91	2.805	16
1 1 3	38.52	2.337	24
0 2 4	46.71	1.945	23
2 -1 6	51.74	1.767	25

Structure:
abc: 5.3980 5.3980 14.0246
angles: 90.00 90.00 120.00
Space group R-3 (No. 148, hexagonal axes)
Symmetry-distinct sites (fractional):
Mg  0.0000  0.0000  0.0000 [3 per cell]
Mo  0.0000  0.0000  0.5000 [3 per cell]
F  0.0030  0.5893  0.2512 [18 per cell]

What did the fifth record say?
Simulated X-ray powder pattern of SrMnOF5 for Cu Kα, from a GGA+U-relaxed structure.
Neutral-atom scattering factors, no anomalous dispersion.

Main lines, low angle first (2θ from 10° to 90°):
(hkl)	2theta	d [Å]	intensity
1 0 -1	19.03	4.664	73
0 1 1	19.29	4.601	55
1 1 -1	22.21	4.003	65
1 0 1	27.43	3.252	75
0 2 1	27.72	3.218	100
1 2 0	28.97	3.082	66

Structure:
abc: 5.369 7.799 6.080
angles: 90.00 110.40 90.00
Space group P2_1/m (No. 11)
Symmetry-distinct sites (fractional):
Sr  0.086  0.250  0.384 [2 per cell]
Mn  0.500  0.000  0.000 [2 per cell]
O  0.344  0.750  0.442 [2 per cell]
F  0.211  0.038  0.714 [4 per cell]
F  0.286  0.055  0.174 [4 per cell]
F  0.359  0.750  0.963 [2 per cell]